1.
Computed powder diffractogram of TiTl3 for Cu Kα (weighted mean of Kα1 and Kα2), from a cell relaxed with GGA-PBE.
Neutral-atom scattering factors, no anomalous dispersion.

Crystal structure
```
TiTl3
1.0
4.6005 0.0000 0.0000
0.0000 4.6005 0.0000
0.0000 0.0000 4.6005
Ti Tl
1 3
Cartesian
0.0000 0.0000 0.0000
0.0000 2.3003 2.3003
2.3003 0.0000 2.3003
2.3003 2.3003 0.0000
```

Principal peaks in the range 10 to 80 degrees two-theta, most intense first:
two_theta, I/Imax
33.74, 100
39.16, 50
67.53, 41
56.58, 35
19.29, 16
27.42, 14
70.97, 12
44.01, 8
48.47, 6
60.36, 4
77.66, 3
64.00, 3



2.
Computed powder diffractogram of K2TaAuF6 for Cu Kα (weighted mean of Kα1 and Kα2), from a cell relaxed with GGA-PBE.
Neutral-atom scattering factors, no anomalous dispersion.

Crystal structure
```
K2TaAuF6
1.0
0.0000 5.0951 5.0951
5.0951 0.0000 5.0951
5.0951 5.0951 0.0000
K Ta Au F
2 1 1 6
Cartesian
2.5475 2.5475 2.5475
7.6426 7.6426 7.6426
0.0000 0.0000 0.0000
5.0951 5.0951 5.0951
5.0951 5.0951 1.9246
5.0951 1.9246 5.0951
8.2656 5.0951 5.0951
1.9246 5.0951 5.0951
5.0951 8.2656 5.0951
5.0951 5.0951 8.2656
```

Principal peaks in the range 10 to 80 degrees two-theta, most intense first:
two_theta, I/Imax
24.71, 100
17.41, 68
43.51, 37
35.23, 30
39.55, 29
57.17, 24
68.96, 24
50.68, 18
53.99, 15
79.87, 11
66.12, 9
30.39, 9



3.
Computed powder diffractogram of CeDyZn2 for Cu Kα (weighted mean of Kα1 and Kα2), from a cell relaxed with GGA-PBE.
Neutral-atom scattering factors, no anomalous dispersion.

Crystal structure
```
CeDyZn2
1.0
0.0000 3.6139 3.6139
3.6139 0.0000 3.6139
3.6139 3.6139 0.0000
Ce Dy Zn
1 1 2
Cartesian
0.0000 0.0000 0.0000
3.6139 3.6139 3.6139
1.8069 1.8069 1.8069
5.4208 5.4208 5.4208
```

Principal peaks in the range 10 to 80 degrees two-theta, most intense first:
two_theta, I/Imax
35.12, 100
63.00, 36
50.51, 18
24.63, 15
74.22, 11
56.98, 7
43.37, 5
79.58, 3



4.
Computed powder diffractogram of Sm3NbO7 for Cu Kα (weighted mean of Kα1 and Kα2), from a cell relaxed with GGA-PBE.
Neutral-atom scattering factors, no anomalous dispersion.

Crystal structure
```
Sm3NbO7
1.0
6.5178 0.0000 0.0000
0.8199 6.5799 0.0000
0.0387 2.2470 7.4205
Sm Nb O
6 2 14
Cartesian
0.3309 0.6145 1.8552
1.9956 3.8247 0.8022
2.0270 4.9149 4.5686
5.3495 3.9120 2.8520
5.3808 5.0023 6.6184
7.0456 8.2124 5.5654
3.2589 0.0000 0.0000
3.2783 1.1235 3.7103
0.8578 6.0805 6.2476
0.9368 5.0256 2.4837
2.1544 7.3558 4.0699
2.1777 8.3434 7.3057
2.7602 0.8583 1.7570
3.0496 3.0966 3.3717
3.0909 4.1397 6.6156
4.2856 4.6872 0.8050
4.3268 5.7304 4.0488
4.6163 7.9687 5.6635
5.1988 0.4836 0.1149
5.2221 1.4711 3.3507
6.4396 3.8013 4.9368
6.5187 2.7465 1.1730
```

Principal peaks in the range 10 to 80 degrees two-theta, most intense first:
two_theta, I/Imax
28.32, 100
28.11, 52
33.25, 47
29.41, 45
46.83, 32
32.72, 20
48.14, 13
47.94, 13
46.51, 13
55.83, 13
56.41, 12
55.53, 12



5.
Computed powder diffractogram of Y2Si4CN6 for Cu Kα (weighted mean of Kα1 and Kα2), from a cell relaxed with GGA-PBE.
Neutral-atom scattering factors, no anomalous dispersion.

Crystal structure
```
Y2Si4CN6
1.0
5.9607 0.0000 0.0000
0.0000 9.9996 0.0000
-5.9102 0.0000 10.3936
Y Si C N
8 16 4 24
Cartesian
-1.5418 0.8713 4.3451
-4.4969 4.1285 9.5419
-4.3345 0.6740 9.4132
-1.3794 4.3258 4.2164
1.4299 5.6737 6.1772
4.3850 9.3256 0.9804
4.5474 5.8710 0.8517
1.5923 9.1283 6.0485
-2.8360 2.2724 6.8481
0.1191 2.7273 1.6512
-3.0844 7.0604 8.5629
-0.1293 7.9389 3.3661
-1.4216 7.1249 6.0234
1.5335 7.8744 0.8266
1.4786 5.2011 2.5991
-1.4765 9.7982 7.7959
1.5271 0.2013 2.5977
-1.4280 4.7984 7.7946
-1.4829 2.1251 9.5670
1.4721 2.8747 4.3702
0.1798 2.0606 7.0275
3.1349 2.9391 1.8307
-0.0686 7.2722 8.7424
2.8865 7.7271 3.5456
1.3810 7.0802 2.5681
-1.5741 7.9191 7.7650
1.6246 2.0804 2.6287
-1.3305 2.9193 7.8255
0.0168 2.1102 0.0118
-2.9383 2.8896 5.2086
-1.3398 2.3740 2.5490
-4.2948 2.6258 7.7458
-2.5578 0.5383 6.6203
0.3973 4.4615 1.4235
-3.0574 5.3646 8.0858
-0.1023 9.6347 2.8890
-0.9313 5.4473 6.2478
2.0237 9.5520 1.0510
-3.1017 7.1453 10.2944
-0.1466 7.8540 5.0976
0.1971 2.1455 5.2960
3.1522 2.8543 0.0992
-1.9732 0.4475 9.3426
0.9819 4.5522 4.1458
0.1528 0.3648 7.5046
3.1079 4.6350 2.3078
-0.3468 5.5381 8.9701
2.6083 9.4612 3.7733
4.3454 7.3737 2.6478
1.3903 7.6256 7.8446
2.9888 7.1100 5.1850
0.0337 7.8893 10.3818
```

Principal peaks in the range 10 to 80 degrees two-theta, most intense first:
two_theta, I/Imax
31.93, 100
35.01, 35
29.94, 35
34.86, 21
35.80, 21
35.95, 19
29.76, 18
35.70, 17
54.46, 17
19.27, 16
54.27, 12
61.80, 12



6.
Computed powder diffractogram of Pm2CdSn for Cu Kα (weighted mean of Kα1 and Kα2), from a cell relaxed with GGA-PBE.
Neutral-atom scattering factors, no anomalous dispersion.

Crystal structure
```
Pm2CdSn
1.0
0.0000 3.8319 3.8319
3.8319 0.0000 3.8319
3.8319 3.8319 0.0000
Pm Cd Sn
2 1 1
Cartesian
1.9160 1.9160 1.9160
5.7479 5.7479 5.7479
0.0000 0.0000 0.0000
3.8319 3.8319 3.8319
```

Principal peaks in the range 10 to 80 degrees two-theta, most intense first:
two_theta, I/Imax
33.06, 100
59.05, 38
47.45, 18
79.02, 16
69.37, 12
23.21, 1
53.47, 1